Record 1
For Pm3ScAu4, the PBE geometry in Alexandria gives the simulated X-ray powder pattern in this record (copper Kα).
No peak broadening, texture or thermal motion is included.

Structure:
```
data_Pm3ScAu4
_chemical_formula_sum 'Pm3 Sc1 Au4'
_space_group_name_H-M_alt 'P 4/m m m'
_space_group_IT_number 123
_space_group_name_Hall '-P 4 2'
_cell_length_a 3.5999
_cell_length_b 3.5999
_cell_length_c 14.6390
_cell_angle_alpha 90.00
_cell_angle_beta 90.00
_cell_angle_gamma 90.00
loop_
_atom_site_label
_atom_site_fract_x
_atom_site_fract_y
_atom_site_fract_z
Pm1 0.0000 0.0000 0.0000
Pm2 0.0000 0.0000 0.2590
Sc1 0.0000 0.0000 0.5000
Au1 0.5000 0.5000 0.1284
Au2 0.5000 0.5000 0.3954
```

Top 10 peaks for 2θ from 10° to 90°, in order of falling intensity:
2θ = 34.96°, d = 2.566 Å, I = 100.0, hkl 1 0 4
2θ = 35.26°, d = 2.545 Å, I = 53.8, hkl 1 1 0
2θ = 63.09°, d = 1.474 Å, I = 36.4, hkl 2 1 4
2θ = 50.72°, d = 1.800 Å, I = 19.3, hkl 2 0 0
2θ = 62.51°, d = 1.486 Å, I = 13.9, hkl 1 1 8
2θ = 85.25°, d = 1.138 Å, I = 9.0, hkl 3 1 0
2θ = 73.85°, d = 1.283 Å, I = 8.6, hkl 2 0 8
2θ = 85.08°, d = 1.140 Å, I = 8.2, hkl 3 0 4
2θ = 30.87°, d = 2.897 Å, I = 8.1, hkl 1 0 3
2θ = 24.73°, d = 3.600 Å, I = 7.2, hkl 1 0 0

---

Record 2
For Pm5AuSe5, the PBE geometry in Alexandria gives the simulated X-ray powder pattern in this record (copper Kα).
No peak broadening, texture or thermal motion is included.

Structure:
```
data_Pm5AuSe5
_chemical_formula_sum 'Pm10 Au2 Se10'
_space_group_name_H-M_alt 'C 1 2/m 1'
_space_group_IT_number 12
_space_group_name_Hall '-C 2y'
_cell_length_a 13.2891
_cell_length_b 5.9818
_cell_length_c 8.4699
_cell_angle_alpha 90.00
_cell_angle_beta 108.36
_cell_angle_gamma 90.00
loop_
_atom_site_label
_atom_site_fract_x
_atom_site_fract_y
_atom_site_fract_z
Pm1 0.0000 0.0000 0.0000
Pm2 0.1621 0.5000 0.8265
Pm3 0.1664 0.5000 0.3406
Au1 0.0000 0.5000 0.0000
Se1 0.0000 0.5000 0.5000
Se2 0.1708 0.0000 0.8394
Se3 0.1716 0.0000 0.3327
```

Top 10 peaks for 2θ from 10° to 90°, in order of falling intensity:
2θ = 29.88°, d = 2.990 Å, I = 100.0, hkl 0 2 0
2θ = 42.75°, d = 2.115 Å, I = 56.1, hkl 2 2 2
2θ = 30.01°, d = 2.978 Å, I = 49.4, hkl 4 0 -2
2θ = 42.85°, d = 2.110 Å, I = 37.3, hkl 4 2 -2
2θ = 70.43°, d = 1.337 Å, I = 30.2, hkl 4 4 -2
2θ = 52.99°, d = 1.728 Å, I = 21.5, hkl 2 2 -4
2θ = 53.26°, d = 1.720 Å, I = 19.5, hkl 6 2 0
2θ = 43.03°, d = 2.102 Å, I = 18.3, hkl 6 0 0
2θ = 16.40°, d = 5.405 Å, I = 18.2, hkl 1 1 0
2θ = 11.01°, d = 8.039 Å, I = 16.7, hkl 0 0 1

---

Record 3
For Pm2Si3Au6, the PBE geometry in Alexandria gives the simulated X-ray powder pattern in this record (copper Kα).
No peak broadening, texture or thermal motion is included.

Structure:
```
data_Pm2Si3Au6
_chemical_formula_sum 'Pm2 Si3 Au6'
_space_group_name_H-M_alt 'P -6 2 m'
_space_group_IT_number 189
_space_group_name_Hall 'P -6 -2'
_cell_length_a 7.6737
_cell_length_b 7.6737
_cell_length_c 4.3609
_cell_angle_alpha 90.00
_cell_angle_beta 90.00
_cell_angle_gamma 120.00
loop_
_atom_site_label
_atom_site_fract_x
_atom_site_fract_y
_atom_site_fract_z
Pm1 0.3333 0.6667 0.0000
Si1 0.0000 0.3548 0.5000
Au1 0.0000 0.2142 0.0000
Au2 0.0000 0.6721 0.5000
```

Top 10 peaks for 2θ from 10° to 90°, in order of falling intensity:
2θ = 31.05°, d = 2.881 Å, I = 100.0, hkl 1 1 1
2θ = 41.46°, d = 2.178 Å, I = 65.2, hkl 0 0 2
2θ = 68.14°, d = 1.376 Å, I = 28.2, hkl 4 1 1
2θ = 35.75°, d = 2.512 Å, I = 26.1, hkl 2 1 0
2θ = 40.73°, d = 2.215 Å, I = 24.1, hkl 3 0 0
2θ = 59.49°, d = 1.554 Å, I = 17.3, hkl 3 0 2
2θ = 55.83°, d = 1.647 Å, I = 14.7, hkl 2 1 2
2θ = 64.73°, d = 1.440 Å, I = 13.1, hkl 2 2 2
2θ = 47.39°, d = 1.918 Å, I = 12.7, hkl 2 2 0
2θ = 69.10°, d = 1.359 Å, I = 10.4, hkl 1 1 3

---

Record 4
For Pm4Si2Au, the PBE geometry in Alexandria gives the simulated X-ray powder pattern in this record (copper Kα).
No peak broadening, texture or thermal motion is included.

Structure:
```
data_Pm4Si2Au
_chemical_formula_sum 'Pm16 Si8 Au4'
_space_group_name_H-M_alt 'I 21 21 21'
_space_group_IT_number 24
_space_group_name_Hall 'I 2b 2c'
_cell_length_a 8.9991
_cell_length_b 9.0012
_cell_length_c 9.1741
_cell_angle_alpha 90.00
_cell_angle_beta 90.00
_cell_angle_gamma 90.00
loop_
_atom_site_label
_atom_site_fract_x
_atom_site_fract_y
_atom_site_fract_z
Pm1 0.0718 0.0711 0.0607
Pm2 0.1789 0.3217 0.6895
Si1 0.1262 0.0000 0.7500
Si2 0.2500 0.3761 0.0000
Au1 0.0000 0.2500 0.3753
```

Top 10 peaks for 2θ from 10° to 90°, in order of falling intensity:
2θ = 31.39°, d = 2.850 Å, I = 100.0, hkl 0 3 1
2θ = 30.88°, d = 2.895 Å, I = 69.1, hkl 1 0 3
2θ = 37.18°, d = 2.418 Å, I = 63.6, hkl 1 3 2
2θ = 37.33°, d = 2.409 Å, I = 48.4, hkl 3 2 1
2θ = 24.15°, d = 3.686 Å, I = 25.4, hkl 2 1 1
2θ = 27.77°, d = 3.212 Å, I = 24.6, hkl 2 0 2
2θ = 13.78°, d = 6.425 Å, I = 20.3, hkl 0 1 1
2θ = 51.76°, d = 1.766 Å, I = 20.2, hkl 4 3 1
2θ = 49.46°, d = 1.843 Å, I = 17.5, hkl 4 2 2
2θ = 48.96°, d = 1.861 Å, I = 16.2, hkl 2 2 4

---

Record 5
For Pm3Si2Au7, the PBE geometry in Alexandria gives the simulated X-ray powder pattern in this record (copper Kα).
No peak broadening, texture or thermal motion is included.

Structure:
```
data_Pm3Si2Au7
_chemical_formula_sum 'Pm6 Si4 Au14'
_space_group_name_H-M_alt 'I 4/m m m'
_space_group_IT_number 139
_space_group_name_Hall '-I 4 2'
_cell_length_a 4.2960
_cell_length_b 4.2960
_cell_length_c 27.9534
_cell_angle_alpha 90.00
_cell_angle_beta 90.00
_cell_angle_gamma 90.00
loop_
_atom_site_label
_atom_site_fract_x
_atom_site_fract_y
_atom_site_fract_z
Pm1 0.0000 0.0000 0.0000
Pm2 0.0000 0.0000 0.1720
Si1 0.0000 0.0000 0.3686
Au1 0.0000 0.0000 0.2797
Au2 0.0000 0.0000 0.5000
Au3 0.0000 0.5000 0.0819
```

Top 10 peaks for 2θ from 10° to 90°, in order of falling intensity:
2θ = 35.27°, d = 2.545 Å, I = 100.0, hkl 1 1 6
2θ = 42.07°, d = 2.148 Å, I = 68.4, hkl 2 0 0
2θ = 32.13°, d = 2.786 Å, I = 56.1, hkl 1 1 4
2θ = 30.11°, d = 2.968 Å, I = 34.0, hkl 1 1 2
2θ = 35.67°, d = 2.517 Å, I = 34.0, hkl 1 0 9
2θ = 67.77°, d = 1.383 Å, I = 28.2, hkl 1 1 18
2θ = 72.47°, d = 1.304 Å, I = 25.1, hkl 3 1 6
2θ = 61.00°, d = 1.519 Å, I = 23.0, hkl 2 2 0
2θ = 39.30°, d = 2.293 Å, I = 20.6, hkl 1 1 8
2θ = 56.31°, d = 1.634 Å, I = 18.5, hkl 2 1 9

---

Record 6
For Pm12Si6Au, the PBE geometry in Alexandria gives the simulated X-ray powder pattern in this record (copper Kα).
No peak broadening, texture or thermal motion is included.

Structure:
```
data_Pm12Si6Au
_chemical_formula_sum 'Pm24 Si12 Au2'
_space_group_name_H-M_alt 'I m -3'
_space_group_IT_number 204
_space_group_name_Hall '-I 2 2 3'
_cell_length_a 10.1462
_cell_length_b 10.1462
_cell_length_c 10.1462
_cell_angle_alpha 90.00
_cell_angle_beta 90.00
_cell_angle_gamma 90.00
loop_
_atom_site_label
_atom_site_fract_x
_atom_site_fract_y
_atom_site_fract_z
Pm1 0.0000 0.2935 0.1871
Si1 0.0000 0.1158 0.5000
Au1 0.0000 0.0000 0.0000
```

Top 10 peaks for 2θ from 10° to 90°, in order of falling intensity:
2θ = 33.03°, d = 2.712 Å, I = 100.0, hkl 3 1 2
2θ = 30.52°, d = 2.929 Å, I = 62.5, hkl 2 2 2
2θ = 27.81°, d = 3.209 Å, I = 61.8, hkl 3 0 1
2θ = 55.86°, d = 1.646 Å, I = 43.5, hkl 5 2 3
2θ = 52.60°, d = 1.740 Å, I = 43.0, hkl 5 3 0
2θ = 35.39°, d = 2.537 Å, I = 23.8, hkl 4 0 0
2θ = 65.00°, d = 1.435 Å, I = 23.8, hkl 5 3 4
2θ = 45.59°, d = 1.990 Å, I = 15.9, hkl 5 0 1
2θ = 81.63°, d = 1.179 Å, I = 15.5, hkl 7 0 5
2θ = 80.29°, d = 1.196 Å, I = 15.3, hkl 8 2 2

---

Record 7
For Pm3Si4Au, the PBE geometry in Alexandria gives the simulated X-ray powder pattern in this record (copper Kα).
No peak broadening, texture or thermal motion is included.

Structure:
```
data_Pm3Si4Au
_chemical_formula_sum 'Pm6 Si8 Au2'
_space_group_name_H-M_alt 'C 1 2/m 1'
_space_group_IT_number 12
_space_group_name_Hall '-C 2y'
_cell_length_a 19.3112
_cell_length_b 4.3464
_cell_length_c 4.2421
_cell_angle_alpha 90.00
_cell_angle_beta 95.31
_cell_angle_gamma 90.00
loop_
_atom_site_label
_atom_site_fract_x
_atom_site_fract_y
_atom_site_fract_z
Pm1 0.0000 0.0000 0.0000
Pm2 0.1605 0.0000 0.4742
Si1 0.1020 0.5000 0.9614
Si2 0.2231 0.5000 0.9940
Au1 0.0000 0.5000 0.5000
```

Top 10 peaks for 2θ from 10° to 90°, in order of falling intensity:
2θ = 31.83°, d = 2.812 Å, I = 100.0, hkl 3 1 -1
2θ = 33.54°, d = 2.672 Å, I = 93.9, hkl 3 1 1
2θ = 27.84°, d = 3.205 Å, I = 44.6, hkl 6 0 0
2θ = 24.75°, d = 3.597 Å, I = 33.2, hkl 3 1 0
2θ = 41.55°, d = 2.173 Å, I = 28.7, hkl 0 2 0
2θ = 42.82°, d = 2.112 Å, I = 24.3, hkl 0 0 2
2θ = 54.16°, d = 1.693 Å, I = 19.6, hkl 6 0 2
2θ = 70.54°, d = 1.335 Å, I = 18.5, hkl 3 1 -3
2θ = 50.76°, d = 1.799 Å, I = 17.5, hkl 6 2 0
2θ = 61.20°, d = 1.515 Å, I = 16.9, hkl 0 2 2

---

Record 8
For PmZn2SiAu2, the PBE geometry in Alexandria gives the simulated X-ray powder pattern in this record (copper Kα).
No peak broadening, texture or thermal motion is included.

Structure:
```
data_PmZn2SiAu2
_chemical_formula_sum 'Pm1 Zn2 Si1 Au2'
_space_group_name_H-M_alt 'P 4/m m m'
_space_group_IT_number 123
_space_group_name_Hall '-P 4 2'
_cell_length_a 4.6397
_cell_length_b 4.6397
_cell_length_c 5.7871
_cell_angle_alpha 90.00
_cell_angle_beta 90.00
_cell_angle_gamma 90.00
loop_
_atom_site_label
_atom_site_fract_x
_atom_site_fract_y
_atom_site_fract_z
Pm1 0.0000 0.0000 0.0000
Zn1 0.0000 0.5000 0.5000
Si1 0.0000 0.0000 0.5000
Au1 0.5000 0.5000 0.2334
```

Top 10 peaks for 2θ from 10° to 90°, in order of falling intensity:
2θ = 36.60°, d = 2.455 Å, I = 100.0, hkl 1 0 2
2θ = 38.82°, d = 2.320 Å, I = 68.5, hkl 2 0 0
2θ = 54.41°, d = 1.686 Å, I = 64.4, hkl 2 1 2
2θ = 27.18°, d = 3.281 Å, I = 62.4, hkl 1 1 0
2θ = 31.34°, d = 2.854 Å, I = 43.6, hkl 1 1 1
2θ = 19.13°, d = 4.640 Å, I = 35.7, hkl 1 0 0
2θ = 41.62°, d = 2.170 Å, I = 28.1, hkl 1 1 2
2θ = 56.06°, d = 1.640 Å, I = 23.4, hkl 2 2 0
2θ = 81.94°, d = 1.176 Å, I = 20.4, hkl 3 2 2
2θ = 77.80°, d = 1.228 Å, I = 16.3, hkl 2 0 4

---

Record 9
For PmSm2Au3, the PBE geometry in Alexandria gives the simulated X-ray powder pattern in this record (copper Kα).
No peak broadening, texture or thermal motion is included.

Structure:
```
data_PmSm2Au3
_chemical_formula_sum 'Pm4 Sm8 Au12'
_space_group_name_H-M_alt 'C m m m'
_space_group_IT_number 65
_space_group_name_Hall '-C 2 2'
_cell_length_a 5.2260
_cell_length_b 15.6874
_cell_length_c 7.3065
_cell_angle_alpha 90.00
_cell_angle_beta 90.00
_cell_angle_gamma 90.00
loop_
_atom_site_label
_atom_site_fract_x
_atom_site_fract_y
_atom_site_fract_z
Pm1 0.0000 0.1666 0.0000
Sm1 0.0000 0.1669 0.5000
Sm2 0.0000 0.5000 0.0000
Sm3 0.0000 0.5000 0.5000
Au1 0.0000 0.0000 0.2513
Au2 0.0000 0.3342 0.2523
```

Top 10 peaks for 2θ from 10° to 90°, in order of falling intensity:
2θ = 34.52°, d = 2.598 Å, I = 100.0, hkl 1 3 2
2θ = 34.31°, d = 2.614 Å, I = 50.8, hkl 2 0 0
2θ = 61.58°, d = 1.506 Å, I = 38.0, hkl 3 3 2
2θ = 61.98°, d = 1.497 Å, I = 18.6, hkl 2 0 4
2θ = 49.31°, d = 1.848 Å, I = 18.5, hkl 2 6 0
2θ = 72.80°, d = 1.299 Å, I = 11.7, hkl 2 6 4
2θ = 49.93°, d = 1.827 Å, I = 8.9, hkl 0 0 4
2θ = 82.53°, d = 1.169 Å, I = 8.5, hkl 4 6 0
2θ = 82.65°, d = 1.168 Å, I = 8.5, hkl 3 9 2
2θ = 83.60°, d = 1.157 Å, I = 8.3, hkl 1 3 6

---

Record 10
For PmSmZnAu, the PBE geometry in Alexandria gives the simulated X-ray powder pattern in this record (copper Kα).
No peak broadening, texture or thermal motion is included.

Structure:
```
data_PmSmZnAu
_chemical_formula_sum 'Pm1 Sm1 Zn1 Au1'
_space_group_name_H-M_alt 'P 4 m m'
_space_group_IT_number 99
_space_group_name_Hall 'P 4 -2'
_cell_length_a 3.7003
_cell_length_b 3.7003
_cell_length_c 7.1801
_cell_angle_alpha 90.00
_cell_angle_beta 90.00
_cell_angle_gamma 90.00
loop_
_atom_site_label
_atom_site_fract_x
_atom_site_fract_y
_atom_site_fract_z
Pm1 0.0000 0.0000 0.0000
Sm1 0.0000 0.0000 0.4947
Zn1 0.5000 0.5000 0.2493
Au1 0.5000 0.5000 0.7437
```

Top 10 peaks for 2θ from 10° to 90°, in order of falling intensity:
2θ = 34.82°, d = 2.577 Å, I = 100.0, hkl 1 0 2
2θ = 34.27°, d = 2.617 Å, I = 52.2, hkl 1 1 0
2θ = 61.72°, d = 1.503 Å, I = 38.1, hkl 2 1 2
2θ = 49.25°, d = 1.850 Å, I = 18.8, hkl 2 0 0
2θ = 62.78°, d = 1.480 Å, I = 18.0, hkl 1 1 4
2θ = 12.33°, d = 7.180 Å, I = 12.4, hkl 0 0 1
2θ = 73.51°, d = 1.288 Å, I = 11.9, hkl 2 0 4
2θ = 27.11°, d = 3.289 Å, I = 10.1, hkl 1 0 1
2θ = 50.87°, d = 1.795 Å, I = 8.5, hkl 0 0 4
2θ = 82.42°, d = 1.170 Å, I = 8.5, hkl 3 1 0

---

Record 11
For Pm3SnAu2, the PBE geometry in Alexandria gives the simulated X-ray powder pattern in this record (copper Kα).
No peak broadening, texture or thermal motion is included.

Structure:
```
data_Pm3SnAu2
_chemical_formula_sum 'Pm3 Sn1 Au2'
_space_group_name_H-M_alt 'P 4/m m m'
_space_group_IT_number 123
_space_group_name_Hall '-P 4 2'
_cell_length_a 3.6033
_cell_length_b 3.6033
_cell_length_c 12.1117
_cell_angle_alpha 90.00
_cell_angle_beta 90.00
_cell_angle_gamma 90.00
loop_
_atom_site_label
_atom_site_fract_x
_atom_site_fract_y
_atom_site_fract_z
Pm1 0.0000 0.0000 0.0000
Pm2 0.0000 0.0000 0.3153
Sn1 0.5000 0.5000 0.5000
Au1 0.5000 0.5000 0.1541
```

Top 10 peaks for 2θ from 10° to 90°, in order of falling intensity:
2θ = 33.33°, d = 2.688 Å, I = 100.0, hkl 1 0 3
2θ = 35.22°, d = 2.548 Å, I = 45.8, hkl 1 1 0
2θ = 62.01°, d = 1.497 Å, I = 34.0, hkl 2 1 3
2θ = 58.32°, d = 1.582 Å, I = 17.0, hkl 1 1 6
2θ = 50.67°, d = 1.802 Å, I = 16.5, hkl 2 0 0
2θ = 69.99°, d = 1.344 Å, I = 10.0, hkl 2 0 6
2θ = 44.90°, d = 2.019 Å, I = 9.2, hkl 0 0 6
2θ = 85.15°, d = 1.139 Å, I = 7.7, hkl 3 1 0
2θ = 84.08°, d = 1.151 Å, I = 7.5, hkl 3 0 3
2θ = 38.85°, d = 2.318 Å, I = 6.9, hkl 1 0 4

---

Record 12
For Pm2SnAu3, the PBE geometry in Alexandria gives the simulated X-ray powder pattern in this record (copper Kα).
No peak broadening, texture or thermal motion is included.

Structure:
```
data_Pm2SnAu3
_chemical_formula_sum 'Pm2 Sn1 Au3'
_space_group_name_H-M_alt 'P m m 2'
_space_group_IT_number 25
_space_group_name_Hall 'P 2 -2'
_cell_length_a 3.6276
_cell_length_b 4.7092
_cell_length_c 8.4264
_cell_angle_alpha 90.00
_cell_angle_beta 90.00
_cell_angle_gamma 90.00
loop_
_atom_site_label
_atom_site_fract_x
_atom_site_fract_y
_atom_site_fract_z
Pm1 0.0000 0.0000 0.0000
Pm2 0.0000 0.5000 0.4608
Sn1 0.5000 0.5000 0.8079
Au1 0.5000 0.0000 0.3154
Au2 0.5000 0.0000 0.6440
Au3 0.5000 0.5000 0.1399
```

Top 10 peaks for 2θ from 10° to 90°, in order of falling intensity:
2θ = 32.93°, d = 2.720 Å, I = 100.0, hkl 1 1 1
2θ = 37.28°, d = 2.412 Å, I = 80.3, hkl 0 1 3
2θ = 32.57°, d = 2.749 Å, I = 46.7, hkl 1 0 2
2θ = 38.22°, d = 2.355 Å, I = 39.2, hkl 0 2 0
2θ = 64.25°, d = 1.450 Å, I = 33.3, hkl 2 1 3
2θ = 51.07°, d = 1.788 Å, I = 26.6, hkl 1 2 2
2θ = 24.54°, d = 3.628 Å, I = 20.9, hkl 1 0 0
2θ = 45.14°, d = 2.009 Å, I = 19.1, hkl 1 1 3
2θ = 50.31°, d = 1.814 Å, I = 18.0, hkl 2 0 0
2θ = 64.89°, d = 1.437 Å, I = 16.9, hkl 2 2 0

---

Record 13
For SrPm2Au3, the PBE geometry in Alexandria gives the simulated X-ray powder pattern in this record (copper Kα).
No peak broadening, texture or thermal motion is included.

Structure:
```
data_SrPm2Au3
_chemical_formula_sum 'Sr1 Pm2 Au3'
_space_group_name_H-M_alt 'P 4/m m m'
_space_group_IT_number 123
_space_group_name_Hall '-P 4 2'
_cell_length_a 3.7327
_cell_length_b 3.7327
_cell_length_c 11.3352
_cell_angle_alpha 90.00
_cell_angle_beta 90.00
_cell_angle_gamma 90.00
loop_
_atom_site_label
_atom_site_fract_x
_atom_site_fract_y
_atom_site_fract_z
Sr1 0.0000 0.0000 0.0000
Pm1 0.0000 0.0000 0.3354
Au1 0.5000 0.5000 0.1907
Au2 0.5000 0.5000 0.5000
```

Top 10 peaks for 2θ from 10° to 90°, in order of falling intensity:
2θ = 33.75°, d = 2.655 Å, I = 100.0, hkl 1 0 3
2θ = 33.97°, d = 2.639 Å, I = 53.5, hkl 1 1 0
2θ = 60.65°, d = 1.527 Å, I = 37.4, hkl 2 1 3
2θ = 48.79°, d = 1.866 Å, I = 19.5, hkl 2 0 0
2θ = 60.24°, d = 1.536 Å, I = 14.8, hkl 1 1 6
2θ = 70.99°, d = 1.328 Å, I = 9.1, hkl 2 0 6
2θ = 81.55°, d = 1.180 Å, I = 9.0, hkl 3 1 0
2θ = 81.43°, d = 1.182 Å, I = 8.3, hkl 3 0 3
2θ = 48.17°, d = 1.889 Å, I = 7.2, hkl 0 0 6
2θ = 39.94°, d = 2.257 Å, I = 6.6, hkl 1 0 4

---

Record 14
For SrPm3Au4, the PBE geometry in Alexandria gives the simulated X-ray powder pattern in this record (copper Kα).
No peak broadening, texture or thermal motion is included.

Structure:
```
data_SrPm3Au4
_chemical_formula_sum 'Sr2 Pm6 Au8'
_space_group_name_H-M_alt 'I m -3 m'
_space_group_IT_number 229
_space_group_name_Hall '-I 4 2 3'
_cell_length_a 7.4403
_cell_length_b 7.4403
_cell_length_c 7.4403
_cell_angle_alpha 90.00
_cell_angle_beta 90.00
_cell_angle_gamma 90.00
loop_
_atom_site_label
_atom_site_fract_x
_atom_site_fract_y
_atom_site_fract_z
Sr1 0.0000 0.0000 0.0000
Pm1 0.0000 0.0000 0.5000
Au1 0.2500 0.2500 0.2500
```

Top 10 peaks for 2θ from 10° to 90°, in order of falling intensity:
2θ = 34.08°, d = 2.631 Å, I = 100.0, hkl 2 2 0
2θ = 61.01°, d = 1.519 Å, I = 37.8, hkl 4 2 2
2θ = 48.97°, d = 1.860 Å, I = 18.2, hkl 4 0 0
2θ = 81.89°, d = 1.176 Å, I = 16.8, hkl 6 2 0
2θ = 71.77°, d = 1.315 Å, I = 11.8, hkl 4 4 0
2θ = 23.92°, d = 3.720 Å, I = 4.5, hkl 2 0 0
2θ = 55.21°, d = 1.664 Å, I = 2.1, hkl 4 2 0
2θ = 42.07°, d = 2.148 Å, I = 1.5, hkl 2 2 2
2θ = 76.88°, d = 1.240 Å, I = 1.1, hkl 6 0 0
2θ = 16.85°, d = 5.261 Å, I = 1.1, hkl 1 1 0